Record 1
Calculated powder diffractogram of Ho2Th3Sc5 for Cu Kα, 1.54184 Å, from DFT lattice parameters and positions (PBE).
Peak positions follow from Bragg's law for the DFT cell and can differ from measured ones.

Atomic structure:
a b c (Å): 8.3436 8.4267 8.9708
angles (deg): 108.28 90.06 109.47
Fractional positions:
Ho1 0.0251 0.0798 0.2036
Ho2 0.4733 0.4248 0.7979
Ho3 0.5267 0.5752 0.2021
Ho4 0.9749 0.9202 0.7964
Th1 0.0731 0.2269 0.6040
Th2 0.1796 0.5302 0.4004
Th3 0.3786 0.1226 0.9990
Th4 0.6214 0.8774 0.0010
Th5 0.8204 0.4698 0.5996
Th6 0.9269 0.7731 0.3960
Sc1 0.1219 0.3829 0.0023
Sc2 0.2235 0.6780 0.7999
Sc3 0.2739 0.8261 0.1978
Sc4 0.3300 0.9730 0.5991
Sc5 0.4270 0.2706 0.3977
Sc6 0.5730 0.7294 0.6023
Sc7 0.6700 0.0270 0.4009
Sc8 0.7261 0.1739 0.8022
Sc9 0.7765 0.3220 0.2001
Sc10 0.8781 0.6171 0.9977

Largest 8 diffraction maxima, sorted by position, 2θ = 15–90°:
d/Å, 2θ/deg, I/Imax
5.429, 16.33, 21
2.809, 31.86, 53
2.779, 32.22, 100
2.770, 32.31, 50
2.421, 37.14, 35
2.407, 37.37, 70
1.713, 53.50, 24
1.454, 64.03, 21


Record 2
Calculated powder diffractogram of Ho3Th3Sc5 for Cu Kα, 1.54184 Å, from DFT lattice parameters and positions (PBE).
Peak positions follow from Bragg's law for the DFT cell and can differ from measured ones.

Atomic structure:
a b c (Å): 6.2619 6.5604 8.4647
angles (deg): 110.03 99.16 97.48
Fractional positions:
Ho1 0.0000 0.0000 0.0000
Ho2 0.0507 0.4392 0.8733
Ho3 0.3154 0.4395 0.2996
Th1 0.5320 0.2000 0.9689
Th2 0.7028 0.9087 0.5978
Th3 0.8902 0.7276 0.2575
Sc1 0.1842 0.7463 0.6449
Sc2 0.2820 0.1810 0.5636
Sc3 0.4092 0.8881 0.2059
Sc4 0.5760 0.6259 0.8445
Sc5 0.8050 0.3087 0.4199

Largest 8 diffraction maxima, sorted by position, 2θ = 15–90°:
d/Å, 2θ/deg, I/Imax
4.309, 20.61, 62
3.906, 22.77, 63
2.823, 31.70, 89
2.790, 32.08, 96
2.729, 32.82, 100
2.704, 33.14, 100
2.677, 33.48, 88
2.633, 34.05, 99


Record 3
Calculated powder diffractogram of Ho3Th2Sc4 for Cu Kα, 1.54184 Å, from DFT lattice parameters and positions (PBE).
Peak positions follow from Bragg's law for the DFT cell and can differ from measured ones.

Atomic structure:
a b c (Å): 6.6107 14.7681 5.3873
angles (deg): 90.00 90.00 90.00
Fractional positions:
Ho1 0.0000 0.0000 0.0000
Ho2 0.1089 0.3317 0.5000
Ho3 0.3911 0.8317 0.0000
Ho4 0.5000 0.5000 0.5000
Ho5 0.6089 0.1683 0.0000
Ho6 0.8911 0.6683 0.5000
Th1 0.1549 0.5930 0.0000
Th2 0.3451 0.0930 0.5000
Th3 0.6549 0.9070 0.5000
Th4 0.8451 0.4070 0.0000
Sc1 0.0996 0.2078 0.0000
Sc2 0.1316 0.8802 0.5000
Sc3 0.3684 0.3802 0.0000
Sc4 0.4004 0.7078 0.5000
Sc5 0.5996 0.2922 0.5000
Sc6 0.6316 0.6198 0.0000
Sc7 0.8684 0.1198 0.5000
Sc8 0.9004 0.7922 0.0000

Largest 8 diffraction maxima, sorted by position, 2θ = 15–90°:
d/Å, 2θ/deg, I/Imax
4.019, 22.12, 38
3.948, 22.52, 31
3.635, 24.49, 40
3.185, 28.02, 31
2.767, 32.35, 29
2.694, 33.26, 61
2.632, 34.06, 100
2.590, 34.63, 68


Record 4
Calculated powder diffractogram of Ho12ThSc7 for Cu Kα, 1.54184 Å, from DFT lattice parameters and positions (PBE).
Peak positions follow from Bragg's law for the DFT cell and can differ from measured ones.

Atomic structure:
a b c (Å): 9.6677 9.6677 9.6677
angles (deg): 112.93 112.93 112.93
Fractional positions:
Ho1 0.0000 0.2838 0.7162
Ho2 0.0000 0.7162 0.2838
Ho3 0.0876 0.4183 0.4183
Ho4 0.2838 0.0000 0.7162
Ho5 0.2838 0.7162 0.0000
Ho6 0.4183 0.0876 0.4183
Ho7 0.4183 0.4183 0.0876
Ho8 0.5817 0.5817 0.9124
Ho9 0.5817 0.9124 0.5817
Ho10 0.7162 0.0000 0.2838
Ho11 0.7162 0.2838 0.0000
Ho12 0.9124 0.5817 0.5817
Th1 0.0000 0.0000 0.0000
Sc1 0.1551 0.1551 0.4883
Sc2 0.1551 0.4883 0.1551
Sc3 0.4883 0.1551 0.1551
Sc4 0.5000 0.5000 0.5000
Sc5 0.5117 0.8449 0.8449
Sc6 0.8449 0.5117 0.8449
Sc7 0.8449 0.8449 0.5117

Largest 8 diffraction maxima, sorted by position, 2θ = 15–90°:
d/Å, 2θ/deg, I/Imax
3.473, 25.65, 100
2.759, 32.45, 80
2.686, 33.36, 92
2.622, 34.20, 39
2.610, 34.36, 33
1.933, 47.01, 33
1.877, 48.51, 43
1.778, 51.38, 34


Record 5
Calculated powder diffractogram of Ho3Th5Sc for Cu Kα, 1.54184 Å, from DFT lattice parameters and positions (PBE).
Peak positions follow from Bragg's law for the DFT cell and can differ from measured ones.

Atomic structure:
a b c (Å): 9.5066 9.5066 9.5066
angles (deg): 122.41 122.41 85.88
Fractional positions:
Ho1 0.1055 0.6055 0.7109
Ho2 0.2500 0.2500 0.0000
Ho3 0.3945 0.1055 0.5000
Ho4 0.6055 0.8945 0.5000
Ho5 0.7500 0.7500 0.0000
Ho6 0.8945 0.3945 0.2891
Th1 0.0000 0.0000 0.0000
Th2 0.0739 0.1637 0.5000
Th3 0.1637 0.6637 0.0898
Th4 0.3363 0.4261 0.5000
Th5 0.4261 0.9261 0.0898
Th6 0.5000 0.5000 0.0000
Th7 0.5739 0.0739 0.9102
Th8 0.6637 0.5739 0.5000
Th9 0.8363 0.3363 0.9102
Th10 0.9261 0.8363 0.5000
Sc1 0.2500 0.7500 0.5000
Sc2 0.7500 0.2500 0.5000

Largest 8 diffraction maxima, sorted by position, 2θ = 15–90°:
d/Å, 2θ/deg, I/Imax
3.238, 27.55, 56
3.070, 29.08, 55
2.896, 30.88, 28
2.771, 32.31, 100
2.499, 35.94, 24
2.193, 41.15, 26
1.765, 51.80, 16
1.596, 57.77, 18


Record 6
Calculated powder diffractogram of HoTh6Sc2 for Cu Kα, 1.54184 Å, from DFT lattice parameters and positions (PBE).
Peak positions follow from Bragg's law for the DFT cell and can differ from measured ones.

Atomic structure:
a b c (Å): 9.0258 9.0258 9.0258
angles (deg): 117.89 104.20 106.68
Fractional positions:
Ho1 0.2500 0.2500 0.0000
Ho2 0.7500 0.7500 0.0000
Th1 0.0125 0.5232 0.2048
Th2 0.0924 0.2958 0.3882
Th3 0.1816 0.9768 0.4894
Th4 0.3184 0.8078 0.7952
Th5 0.4076 0.7958 0.2033
Th6 0.4875 0.6922 0.5106
Th7 0.5125 0.3078 0.4894
Th8 0.5924 0.2042 0.7967
Th9 0.6816 0.1922 0.2048
Th10 0.8184 0.0232 0.5106
Th11 0.9076 0.7042 0.6118
Th12 0.9875 0.4768 0.7952
Sc1 0.1496 0.9431 0.0927
Sc2 0.3504 0.4431 0.7935
Sc3 0.6496 0.5569 0.2065
Sc4 0.8504 0.0569 0.9073

Largest 8 diffraction maxima, sorted by position, 2θ = 15–90°:
d/Å, 2θ/deg, I/Imax
3.436, 25.93, 32
2.989, 29.89, 47
2.897, 30.87, 23
2.869, 31.18, 100
2.755, 32.50, 70
2.580, 34.77, 23
2.379, 37.82, 22
1.749, 52.31, 27


Record 7
Calculated powder diffractogram of Ho2TmThSc5 for Cu Kα, 1.54184 Å, from DFT lattice parameters and positions (PBE).
Peak positions follow from Bragg's law for the DFT cell and can differ from measured ones.

Atomic structure:
a b c (Å): 5.3692 9.6216 10.1326
angles (deg): 90.06 105.33 90.00
Fractional positions:
Ho1 0.0000 0.0000 0.0000
Ho2 0.0333 0.3831 0.0670
Ho3 0.7574 0.8821 0.5175
Ho4 0.7909 0.5002 0.5849
Tm1 0.1038 0.7104 0.2083
Tm2 0.6881 0.2098 0.3785
Th1 0.2979 0.1049 0.5985
Th2 0.4931 0.6055 0.9866
Sc1 0.1514 0.0438 0.3047
Sc2 0.2063 0.4097 0.4150
Sc3 0.2959 0.6991 0.5946
Sc4 0.3713 0.4062 0.7461
Sc5 0.4198 0.9065 0.8392
Sc6 0.4956 0.1995 0.9914
Sc7 0.5847 0.9104 0.1701
Sc8 0.6390 0.5414 0.2792
Sc9 0.8761 0.2038 0.7553
Sc10 0.9149 0.7040 0.8298

Largest 8 diffraction maxima, sorted by position, 2θ = 15–90°:
d/Å, 2θ/deg, I/Imax
4.886, 18.16, 28
3.805, 23.38, 76
3.524, 25.27, 25
3.047, 29.31, 28
2.726, 32.85, 86
2.684, 33.38, 76
2.641, 33.94, 100
2.399, 37.50, 31


Record 8
Calculated powder diffractogram of YHoTh2Sc for Cu Kα, 1.54184 Å, from DFT lattice parameters and positions (PBE).
Peak positions follow from Bragg's law for the DFT cell and can differ from measured ones.

Atomic structure:
a b c (Å): 8.3807 3.4501 11.5483
angles (deg): 90.00 109.77 90.00
Fractional positions:
Y1 0.2004 0.2500 0.0548
Y2 0.7996 0.7500 0.9452
Ho1 0.0513 0.7500 0.2712
Ho2 0.9487 0.2500 0.7288
Th1 0.4138 0.2500 0.8538
Th2 0.4424 0.2500 0.3629
Th3 0.5576 0.7500 0.6371
Th4 0.5862 0.7500 0.1462
Sc1 0.1885 0.2500 0.5430
Sc2 0.8115 0.7500 0.4570

Largest 8 diffraction maxima, sorted by position, 2θ = 15–90°:
d/Å, 2θ/deg, I/Imax
3.157, 28.27, 57
2.911, 30.72, 81
2.887, 30.98, 100
2.776, 32.24, 66
2.761, 32.43, 70
2.584, 34.71, 93
2.577, 34.82, 76
1.712, 53.53, 38


Record 9
Calculated powder diffractogram of HoSc2Ti for Cu Kα, 1.54184 Å, from DFT lattice parameters and positions (PBE).
Peak positions follow from Bragg's law for the DFT cell and can differ from measured ones.

Atomic structure:
a b c (Å): 10.6742 10.6742 10.6742
angles (deg): 17.44 17.44 17.44
Fractional positions:
Ho1 0.0000 0.0000 0.0000
Sc1 0.2420 0.2420 0.2420
Sc2 0.7580 0.7580 0.7580
Ti1 0.5000 0.5000 0.5000

Largest 8 diffraction maxima, sorted by position, 2θ = 15–90°:
d/Å, 2θ/deg, I/Imax
5.255, 16.87, 31
3.503, 25.43, 19
2.641, 33.95, 100
2.627, 34.13, 30
2.561, 35.04, 20
2.284, 39.45, 63
1.618, 56.90, 22
1.378, 68.05, 22


Record 10
Calculated powder diffractogram of Ho2Sc2Tl7 for Cu Kα, 1.54184 Å, from DFT lattice parameters and positions (PBE).
Peak positions follow from Bragg's law for the DFT cell and can differ from measured ones.

Atomic structure:
a b c (Å): 6.7054 6.7054 8.1822
angles (deg): 90.00 90.00 117.97
Fractional positions:
Ho1 0.2483 0.2483 0.0000
Ho2 0.7517 0.7517 0.0000
Sc1 0.2651 0.7349 0.5000
Sc2 0.7349 0.2651 0.5000
Tl1 0.0000 0.0000 0.5000
Tl2 0.0000 0.5000 0.1928
Tl3 0.0000 0.5000 0.8072
Tl4 0.5000 0.0000 0.1928
Tl5 0.5000 0.0000 0.8072
Tl6 0.5000 0.5000 0.3146
Tl7 0.5000 0.5000 0.6854

Largest 8 diffraction maxima, sorted by position, 2θ = 15–90°:
d/Å, 2θ/deg, I/Imax
3.333, 26.75, 52
3.183, 28.03, 89
2.961, 30.18, 64
2.873, 31.13, 100
2.464, 36.47, 67
2.399, 37.49, 89
2.133, 42.38, 58
1.480, 62.80, 53


Record 11
Calculated powder diffractogram of HoSc2Tl for Cu Kα, 1.54184 Å, from DFT lattice parameters and positions (PBE).
Peak positions follow from Bragg's law for the DFT cell and can differ from measured ones.

Atomic structure:
a b c (Å): 6.3044 6.3044 8.0801
angles (deg): 90.00 90.00 138.55
Fractional positions:
Ho1 0.0576 0.9424 0.7500
Ho2 0.9424 0.0576 0.2500
Sc1 0.3686 0.6314 0.5521
Sc2 0.3686 0.6314 0.9479
Sc3 0.6314 0.3686 0.0521
Sc4 0.6314 0.3686 0.4479
Tl1 0.2273 0.7727 0.2500
Tl2 0.7727 0.2273 0.7500

Largest 8 diffraction maxima, sorted by position, 2θ = 15–90°:
d/Å, 2θ/deg, I/Imax
4.040, 22.00, 35
3.708, 24.00, 19
2.903, 30.80, 38
2.770, 32.31, 100
2.382, 37.77, 16
2.231, 40.43, 18
1.989, 45.61, 28
1.417, 65.91, 15


Record 12
Calculated powder diffractogram of Ho5Sc2Tl5 for Cu Kα, 1.54184 Å, from DFT lattice parameters and positions (PBE).
Peak positions follow from Bragg's law for the DFT cell and can differ from measured ones.

Atomic structure:
a b c (Å): 6.3046 6.3046 13.2553
angles (deg): 113.80 113.80 45.22
Fractional positions:
Ho1 0.0000 0.0000 0.0000
Ho2 0.3573 0.3573 0.5174
Ho3 0.4005 0.4005 0.2011
Ho4 0.5995 0.5995 0.7989
Ho5 0.6427 0.6427 0.4826
Sc1 0.2466 0.2466 0.7066
Sc2 0.7534 0.7534 0.2934
Tl1 0.0000 0.0000 0.5000
Tl2 0.0997 0.0997 0.2837
Tl3 0.2929 0.2929 0.9420
Tl4 0.7071 0.7071 0.0580
Tl5 0.9003 0.9003 0.7163

Largest 8 diffraction maxima, sorted by position, 2θ = 15–90°:
d/Å, 2θ/deg, I/Imax
3.279, 27.20, 33
3.005, 29.73, 100
2.980, 29.98, 32
2.831, 31.60, 62
2.711, 33.04, 56
2.557, 35.10, 59
2.424, 37.09, 53
2.280, 39.53, 26